Structure and computed X-ray powder pattern of YIn2Se4 (a crystal structure in Alexandria, relaxed with GGA-PBE; λ = 1.5418 Å (Cu Kα)).
Kinematic intensities with the Lorentz-polarization factor, no thermal factor.

Peak list (10 most intense, 2θ = 10–90°, sorted by position)
- (0 0 1), 13.91 deg, rel. 8
- (1 1 1), 24.93 deg, rel. 100
- (2 0 2), 40.98 deg, rel. 52
- (2 2 0), 41.88 deg, rel. 24
- (1 1 3), 47.76 deg, rel. 17
- (3 1 1), 49.36 deg, rel. 29
- (4 0 0), 60.72 deg, rel. 7
- (3 1 3), 65.37 deg, rel. 12
- (2 2 4), 74.02 deg, rel. 8
- (4 2 2), 75.88 deg, rel. 16

Cell lengths 6.101, 6.101, 6.367 Å; angles 90.00, 90.00, 90.00 degrees
Sites, in units of the cell vectors:
Y1 0.000 0.000 0.000
In1 0.000 0.500 0.500
In2 0.500 0.000 0.500
Se1 0.265 0.265 0.244
Se2 0.265 0.735 0.756
Se3 0.735 0.265 0.756
Se4 0.735 0.735 0.244